# 1
Structure and computed XRD peak list of KAl3S2O14 (a DFT-relaxed cell (GGA-PBE, Alexandria); Cu Kα).

Crystal structure
a = 7.735 Å, b = 7.735 Å, c = 7.735 Å
α = 53.60°, β = 53.60°, γ = 53.60°
Element x y z (fractional)
K 0.000 0.000 0.000
Al 0.000 0.000 0.500
Al 0.000 0.500 0.000
Al 0.500 0.000 0.000
S 0.291 0.291 0.291
S 0.709 0.709 0.709
O 0.086 0.743 0.743
O 0.146 0.146 0.495
O 0.146 0.495 0.146
O 0.257 0.257 0.914
O 0.257 0.914 0.257
O 0.363 0.363 0.363
O 0.495 0.146 0.146
O 0.505 0.854 0.854
O 0.637 0.637 0.637
O 0.743 0.086 0.743
O 0.743 0.743 0.086
O 0.854 0.505 0.854
O 0.854 0.854 0.505
O 0.914 0.257 0.257

The 12 most intense peaks (15° ≤ 2θ ≤ 90°), low angle first:
2θ 15.3, d = 5.778 Å, I = 442; 2θ 17.2, d = 5.157 Å, I = 1000; 2θ 25.5, d = 3.488 Å, I = 366; 2θ 27.0, d = 3.305 Å, I = 146; 2θ 29.0, d = 3.084 Å, I = 955; 2θ 29.9, d = 2.986 Å, I = 236; 2θ 35.0, d = 2.563 Å, I = 397; 2θ 47.2, d = 1.926 Å, I = 437; 2θ 52.5, d = 1.744 Å, I = 207; 2θ 55.5, d = 1.657 Å, I = 197; 2θ 60.0, d = 1.542 Å, I = 132; 2θ 73.2, d = 1.293 Å, I = 95

***

# 2
Structure and computed XRD peak list of KTi3AlO8 (a DFT-relaxed cell (GGA-PBE, Alexandria); Cu Kα).

Crystal structure
a = 2.971 Å, b = 7.269 Å, c = 7.305 Å
α = 87.63°, β = 78.27°, γ = 78.22°
Element x y z (fractional)
K 0.000 0.000 0.000
Ti 0.312 0.822 0.513
Ti 0.657 0.202 0.479
Ti 0.830 0.495 0.835
Al 0.142 0.524 0.187
O 0.034 0.298 0.629
O 0.291 0.057 0.355
O 0.325 0.633 0.713
O 0.335 0.363 0.961
O 0.646 0.647 0.055
O 0.656 0.388 0.295
O 0.701 0.955 0.641
O 0.956 0.708 0.374

The 12 most intense peaks (15° ≤ 2θ ≤ 90°), low angle first:
2θ 17.6, d = 5.045 Å, I = 331; 2θ 24.9, d = 3.576 Å, I = 144; 2θ 28.0, d = 3.190 Å, I = 1000; 2θ 36.2, d = 2.481 Å, I = 513; 2θ 40.5, d = 2.226 Å, I = 500; 2θ 48.2, d = 1.889 Å, I = 372; 2θ 54.6, d = 1.682 Å, I = 246; 2θ 58.1, d = 1.587 Å, I = 179; 2θ 58.3, d = 1.583 Å, I = 218; 2θ 67.1, d = 1.395 Å, I = 174; 2θ 67.4, d = 1.389 Å, I = 144; 2θ 87.7, d = 1.113 Å, I = 137

***

# 3
Structure and computed XRD peak list of K2TiAlO4 (a DFT-relaxed cell (GGA-PBE, Alexandria); Cu Kα).

Crystal structure
a = 11.798 Å, b = 10.397 Å, c = 6.695 Å
α = 84.34°, β = 61.28°, γ = 34.38°
Element x y z (fractional)
K 0.056 0.056 0.694
K 0.306 0.306 0.944
K 0.694 0.694 0.056
K 0.944 0.944 0.306
Ti 0.125 0.125 0.125
Ti 0.875 0.875 0.875
Al 0.375 0.375 0.375
Al 0.625 0.625 0.625
O 0.013 0.664 0.562
O 0.262 0.562 0.664
O 0.336 0.987 0.738
O 0.438 0.738 0.987
O 0.562 0.262 0.013
O 0.664 0.013 0.262
O 0.738 0.438 0.336
O 0.987 0.336 0.438

The 12 most intense peaks (15° ≤ 2θ ≤ 90°), low angle first:
2θ 16.9, d = 5.254 Å, I = 513; 2θ 17.6, d = 5.031 Å, I = 997; 2θ 18.9, d = 4.689 Å, I = 261; 2θ 28.0, d = 3.192 Å, I = 282; 2θ 29.0, d = 3.083 Å, I = 486; 2θ 30.3, d = 2.946 Å, I = 1000; 2θ 30.7, d = 2.912 Å, I = 445; 2θ 35.6, d = 2.520 Å, I = 633; 2θ 37.3, d = 2.411 Å, I = 392; 2θ 43.9, d = 2.065 Å, I = 261; 2θ 53.4, d = 1.715 Å, I = 353; 2θ 57.0, d = 1.616 Å, I = 287